(1)
# UCo2PdO8
Computed PXRD pattern, a wavelength of 1.5418 Å. Input: DFT lattice parameters and positions (GGA+U).
Intensities are scaled so that the largest is 100.

Crystal structure
```
UCo2PdO8
1.0
-3.368 3.368 3.340
3.368 -3.368 3.340
3.368 3.368 -3.340
U Co Pd O
1 2 1 8
direct
0.000 0.000 0.000
0.500 0.500 0.000
0.750 0.250 0.500
0.250 0.750 0.500
0.307 0.114 0.808
0.307 0.499 0.192
0.371 0.076 0.295
0.501 0.693 0.808
0.781 0.076 0.705
0.886 0.693 0.192
0.924 0.219 0.295
0.924 0.629 0.705
```

Peak list (10 most intense, 2θ from 15° to 90°, sorted by position)
2theta  I/Imax
18.69  75
26.46  100
32.61  19
32.75  95
37.77  22
42.46  17
50.82  79
54.49  17
62.03  17
65.04  19


(2)
# ZnCoPdO4
Computed PXRD pattern, a wavelength of 1.5418 Å. Input: DFT lattice parameters and positions (GGA+U).
Intensities are scaled so that the largest is 100.

Crystal structure
```
ZnCoPdO4
1.0
-2.964 3.064 4.389
2.964 -3.064 4.389
2.964 3.064 -4.389
Zn Co Pd O
2 2 2 8
direct
0.396 0.146 0.250
0.604 0.854 0.750
0.000 0.000 0.500
0.000 0.500 0.000
0.000 0.500 0.500
0.500 0.500 0.000
0.212 0.732 0.479
0.247 0.268 0.979
0.248 0.267 0.519
0.248 0.729 0.981
0.752 0.271 0.019
0.752 0.733 0.481
0.753 0.732 0.021
0.788 0.268 0.521
```

Peak list (10 most intense, 2θ from 15° to 90°, sorted by position)
2theta  I/Imax
18.06  61
29.21  35
30.15  22
34.18  63
34.50  100
35.15  55
35.74  31
42.43  31
56.39  28
60.58  64


(3)
# Pm3CoO7
Computed PXRD pattern, a wavelength of 1.5418 Å. Input: DFT lattice parameters and positions (GGA+U).
Intensities are scaled so that the largest is 100.

Crystal structure
```
Pm3CoO7
1.0
5.422 -3.613 0.000
5.422 3.613 0.000
0.000 0.000 7.466
Pm Co O
6 2 14
direct
0.000 0.000 0.000
0.000 0.000 0.500
0.104 0.468 0.750
0.468 0.104 0.250
0.532 0.896 0.750
0.896 0.532 0.250
0.500 0.500 0.000
0.500 0.500 0.500
0.103 0.159 0.250
0.159 0.103 0.750
0.198 0.558 0.039
0.198 0.558 0.461
0.418 0.582 0.750
0.442 0.802 0.039
0.442 0.802 0.461
0.558 0.198 0.539
0.558 0.198 0.961
0.582 0.418 0.250
0.802 0.442 0.539
0.802 0.442 0.961
0.841 0.897 0.250
0.897 0.841 0.750
```

Peak list (10 most intense, 2θ from 15° to 90°, sorted by position)
2theta  I/Imax
27.42  24
29.04  100
29.71  67
30.12  20
32.09  25
34.55  31
45.30  21
48.55  33
48.79  19
58.17  20


(4)
# Pm3Co2O9
Computed PXRD pattern, a wavelength of 1.5418 Å. Input: DFT lattice parameters and positions (GGA+U).
Intensities are scaled so that the largest is 100.

Crystal structure
```
Pm3Co2O9
1.0
4.552 2.628 4.266
-4.552 2.628 4.266
0.000 -5.257 4.266
Pm Co O
6 4 18
direct
0.088 0.750 0.412
0.250 0.588 0.912
0.412 0.088 0.750
0.588 0.912 0.250
0.750 0.412 0.088
0.912 0.250 0.588
0.152 0.152 0.152
0.348 0.348 0.348
0.652 0.652 0.652
0.848 0.848 0.848
0.084 0.261 0.913
0.087 0.916 0.739
0.088 0.412 0.250
0.239 0.416 0.587
0.250 0.088 0.412
0.261 0.913 0.084
0.412 0.250 0.088
0.413 0.761 0.584
0.416 0.587 0.239
0.584 0.413 0.761
0.587 0.239 0.416
0.588 0.750 0.912
0.739 0.087 0.916
0.750 0.912 0.588
0.761 0.584 0.413
0.912 0.588 0.750
0.913 0.084 0.261
0.916 0.739 0.087
```

Peak list (10 most intense, 2θ from 15° to 90°, sorted by position)
2theta  I/Imax
28.68  100
34.11  75
45.15  65
47.05  22
55.48  13
57.78  30
59.38  17
61.07  14
71.84  14
79.10  12


(5)
# RbPmCoO3
Computed PXRD pattern, a wavelength of 1.5418 Å. Input: DFT lattice parameters and positions (GGA+U).
Intensities are scaled so that the largest is 100.

Crystal structure
```
RbPmCoO3
1.0
7.998 0.000 0.000
0.000 3.656 0.000
-2.203 0.000 8.083
Rb Pm Co O
2 2 2 6
direct
0.191 0.250 0.206
0.809 0.750 0.794
0.346 0.750 0.849
0.654 0.250 0.151
0.077 0.250 0.614
0.923 0.750 0.386
0.151 0.250 0.851
0.155 0.750 0.555
0.459 0.750 0.132
0.541 0.250 0.868
0.845 0.250 0.445
0.849 0.750 0.149
```

Peak list (10 most intense, 2θ from 15° to 90°, sorted by position)
2theta  I/Imax
26.76  55
27.45  100
28.13  36
33.04  68
33.25  35
33.59  79
33.78  100
49.89  29
51.67  40
53.21  36


(6)
# Pm2CoReO8
Computed PXRD pattern, a wavelength of 1.5418 Å. Input: DFT lattice parameters and positions (GGA+U).
Intensities are scaled so that the largest is 100.

Crystal structure
```
Pm2CoReO8
1.0
4.584 0.000 0.000
0.615 5.063 0.000
0.243 0.720 6.924
Pm Co Re O
2 1 1 8
direct
0.126 0.010 0.246
0.874 0.990 0.754
0.500 0.500 0.000
0.500 0.500 0.500
0.160 0.731 0.538
0.236 0.793 0.971
0.344 0.411 0.255
0.348 0.219 0.647
0.652 0.781 0.353
0.656 0.589 0.745
0.764 0.207 0.029
0.840 0.269 0.462
```

Peak list (10 most intense, 2θ from 15° to 90°, sorted by position)
2theta  I/Imax
23.64  53
24.78  100
26.89  31
27.93  70
29.77  81
32.14  46
32.87  81
35.65  37
44.58  32
52.88  27


(7)
# PmCo2RhO6
Computed PXRD pattern, a wavelength of 1.5418 Å. Input: DFT lattice parameters and positions (GGA+U).
Intensities are scaled so that the largest is 100.

Crystal structure
```
PmCo2RhO6
1.0
2.630 1.518 4.710
-2.630 1.518 4.710
0.000 -3.037 4.710
Pm Co Rh O
1 2 1 6
direct
0.000 0.000 0.000
0.262 0.262 0.262
0.786 0.786 0.786
0.467 0.467 0.467
0.051 0.627 0.457
0.166 0.554 0.879
0.457 0.051 0.627
0.554 0.879 0.166
0.627 0.457 0.051
0.879 0.166 0.554
```

Peak list (10 most intense, 2θ from 15° to 90°, sorted by position)
2theta  I/Imax
23.23  52
32.06  100
34.09  100
37.45  20
41.66  14
47.50  40
52.13  33
59.75  35
61.02  29
69.74  22


(8)
# SrPmCoO4
Computed PXRD pattern, a wavelength of 1.5418 Å. Input: DFT lattice parameters and positions (GGA+U).
Intensities are scaled so that the largest is 100.

Crystal structure
```
SrPmCoO4
1.0
-1.907 1.907 6.225
1.907 -1.907 6.225
1.907 1.907 -6.225
Sr Pm Co O
1 1 1 4
direct
0.000 0.000 0.000
0.717 0.717 0.000
0.359 0.359 0.000
0.194 0.194 0.000
0.347 0.847 0.500
0.532 0.532 0.000
0.847 0.347 0.500
```

Peak list (10 most intense, 2θ from 15° to 90°, sorted by position)
2theta  I/Imax
24.41  23
31.87  100
33.22  70
43.40  17
44.45  28
47.68  36
55.91  15
58.50  36
69.75  17
79.47  18


(9)
# PmCo2TeO8
Computed PXRD pattern, a wavelength of 1.5418 Å. Input: DFT lattice parameters and positions (GGA+U).
Intensities are scaled so that the largest is 100.

Crystal structure
```
PmCo2TeO8
1.0
-3.468 3.468 3.192
3.468 -3.468 3.192
3.468 3.468 -3.192
Pm Co Te O
1 2 1 8
direct
0.000 0.000 0.000
0.250 0.750 0.500
0.500 0.500 0.000
0.750 0.250 0.500
0.046 0.383 0.337
0.046 0.709 0.663
0.106 0.309 0.796
0.291 0.954 0.337
0.513 0.309 0.204
0.617 0.954 0.663
0.691 0.487 0.796
0.691 0.894 0.204
```

Peak list (10 most intense, 2θ from 15° to 90°, sorted by position)
2theta  I/Imax
18.89  28
25.69  100
33.50  70
36.65  21
50.49  60
52.80  15
59.62  13
63.99  18
64.24  13
76.06  12


(10)
# PmCo2TeO6
Computed PXRD pattern, a wavelength of 1.5418 Å. Input: DFT lattice parameters and positions (GGA+U).
Intensities are scaled so that the largest is 100.

Crystal structure
```
PmCo2TeO6
1.0
5.376 0.000 0.000
2.476 4.774 0.000
2.469 1.504 4.536
Pm Co Te O
1 2 1 6
direct
0.000 0.000 0.000
0.257 0.258 0.257
0.759 0.760 0.760
0.542 0.543 0.543
0.094 0.529 0.901
0.430 0.946 0.602
0.527 0.902 0.094
0.602 0.432 0.945
0.900 0.095 0.529
0.945 0.602 0.431
```

Peak list (10 most intense, 2θ from 15° to 90°, sorted by position)
2theta  I/Imax
20.65  12
22.97  26
32.02  100
33.38  77
38.41  14
39.77  16
46.93  44
57.07  27
57.94  35
66.95  14


(11)
# Pm2TlCoO5
Computed PXRD pattern, a wavelength of 1.5418 Å. Input: DFT lattice parameters and positions (GGA+U).
Intensities are scaled so that the largest is 100.

Crystal structure
```
Pm2TlCoO5
1.0
6.808 0.000 0.000
0.000 6.808 0.000
0.000 0.000 5.666
Pm Tl Co O
4 2 2 10
direct
0.178 0.322 0.000
0.322 0.822 0.000
0.678 0.178 0.000
0.822 0.678 0.000
0.000 0.000 0.500
0.500 0.500 0.500
0.000 0.500 0.500
0.500 0.000 0.500
0.000 0.000 0.000
0.129 0.629 0.256
0.129 0.629 0.744
0.371 0.129 0.256
0.371 0.129 0.744
0.500 0.500 0.000
0.629 0.871 0.256
0.629 0.871 0.744
0.871 0.371 0.256
0.871 0.371 0.744
```

Peak list (10 most intense, 2θ from 15° to 90°, sorted by position)
2theta  I/Imax
24.26  29
29.33  15
30.64  100
31.58  32
33.41  38
37.36  25
41.97  23
43.64  27
49.70  22
55.66  25